No. 1
This entry pairs a crystal structure of Rb4Tc6S13 with its simulated powder diffractogram. Radiation: Cu Kα (λ = 1.5418 Å). Structure: DFT lattice parameters and positions (PBE).

Atomic structure:
```
data_Rb4Tc6S13
_chemical_formula_sum 'Rb16 Tc24 S52'
_symmetry_space_group_name_H-M 'C 1 2/c 1'
_symmetry_Int_Tables_number 15
_cell_length_a 9.900
_cell_length_b 16.928
_cell_length_c 14.232
_cell_angle_alpha 90.00
_cell_angle_beta 98.96
_cell_angle_gamma 90.00
loop_
_symmetry_equiv_pos_as_xyz
'x,y,z'
'-x,-y,-z'
'-x,y,-z+1/2'
'x,-y,z+1/2'
'x+1/2,y+1/2,z'
'-x+1/2,-y+1/2,-z'
'-x+1/2,y+1/2,-z+1/2'
'x+1/2,-y+1/2,z+1/2'
loop_
_atom_site_label
_atom_site_type_symbol
_atom_site_fract_x
_atom_site_fract_y
_atom_site_fract_z
Rb1 Rb 0.235 0.031 0.341
Rb2 Rb 0.236 0.357 0.380
Tc1 Tc 0.123 0.221 0.076
Tc2 Tc 0.136 0.211 0.892
Tc3 Tc 0.168 0.349 0.981
S1 S 0.000 0.147 0.750
S2 S 0.047 0.190 0.321
S3 S 0.047 0.280 0.546
S4 S 0.066 0.485 0.951
S5 S 0.101 0.098 0.989
S6 S 0.159 0.348 0.148
S7 S 0.188 0.332 0.817
```

Main lines, by angle (2θ = 5–70°):
| two_theta | I/Imax | h k l |
| --- | --- | --- |
| 10.5 | 99 | 0 2 0 |
| 11.4 | 100 | 1 1 -1 |
| 12.6 | 44 | 0 0 2 |
| 12.9 | 73 | 1 1 1 |
| 18.1 | 22 | 2 0 0 |
| 38.3 | 22 | 4 2 0 |

=====

No. 2
This entry pairs a crystal structure of Bi2Pb6S9 with its simulated powder diffractogram. Radiation: Cu Kα (λ = 1.5418 Å). Structure: DFT lattice parameters and positions (PBE).

Atomic structure:
```
data_Bi2Pb6S9
_chemical_formula_sum 'Bi8 Pb24 S36'
_symmetry_space_group_name_H-M 'C m c m'
_symmetry_Int_Tables_number 63
_symmetry_space_group_name_Hall '-C 2c 2'
_cell_length_a 4.192
_cell_length_b 13.821
_cell_length_c 31.541
_cell_angle_alpha 90.00
_cell_angle_beta 90.00
_cell_angle_gamma 90.00
loop_
_atom_site_label
_atom_site_type_symbol
_atom_site_fract_x
_atom_site_fract_y
_atom_site_fract_z
Bi1 Bi 0.000 0.183 0.174
Pb1 Pb 0.000 0.000 0.000
Pb2 Pb 0.000 0.079 0.750
Pb3 Pb 0.000 0.271 0.558
Pb4 Pb 0.000 0.455 0.118
S1 S 0.000 0.091 0.087
S2 S 0.000 0.182 0.648
S3 S 0.000 0.280 0.250
S4 S 0.000 0.362 0.027
S5 S 0.000 0.443 0.695
```

Main lines, by angle (2θ = 5–70°):
| two_theta | I/Imax | h k l |
| --- | --- | --- |
| 24.9 | 45 | 1 1 4 |
| 26.0 | 100 | 0 2 8 |
| 26.3 | 63 | 1 1 5 |
| 30.0 | 72 | 1 3 3 |
| 31.0 | 43 | 1 3 4 |
| 42.8 | 49 | 0 6 6 |

=====

No. 3
This entry pairs a crystal structure of ZnPtC6N6 with its simulated powder diffractogram. Radiation: Cu Kα (λ = 1.5418 Å). Structure: DFT lattice parameters and positions (PBE).

Atomic structure:
```
data_ZnPtC6N6
_chemical_formula_sum 'Zn4 Pt4 C24 N24'
_symmetry_space_group_name_H-M 'F m -3 m'
_symmetry_Int_Tables_number 225
_symmetry_space_group_name_Hall '-F 4 2 3'
_cell_length_a 10.686
_cell_length_b 10.686
_cell_length_c 10.686
_cell_angle_alpha 90.00
_cell_angle_beta 90.00
_cell_angle_gamma 90.00
loop_
_atom_site_label
_atom_site_type_symbol
_atom_site_fract_x
_atom_site_fract_y
_atom_site_fract_z
Zn1 Zn 0.000 0.000 0.000
Pt1 Pt 0.000 0.000 0.500
C1 C 0.000 0.000 0.311
N1 N 0.000 0.000 0.202
```

Main lines, by angle (2θ = 5–70°):
| two_theta | I/Imax | h k l |
| --- | --- | --- |
| 14.4 | 23 | 1 1 1 |
| 16.6 | 100 | 2 0 0 |
| 23.5 | 42 | 2 2 0 |
| 33.5 | 22 | 4 0 0 |
| 37.6 | 38 | 4 2 0 |
| 51.3 | 18 | 6 0 0 |

=====

No. 4
This entry pairs a crystal structure of B with its simulated powder diffractogram. Radiation: Cu Kα (λ = 1.5418 Å). Structure: DFT lattice parameters and positions (PBE).

Atomic structure:
```
data_B
_chemical_formula_sum 'B24'
_symmetry_space_group_name_H-M 'C 1 2/m 1'
_symmetry_Int_Tables_number 12
_cell_length_a 7.513
_cell_length_b 8.264
_cell_length_c 4.498
_cell_angle_alpha 90.00
_cell_angle_beta 119.77
_cell_angle_gamma 90.00
loop_
_symmetry_equiv_pos_as_xyz
'x,y,z'
'-x,-y,-z'
'-x,y,-z'
'x,-y,z'
'x+1/2,y+1/2,z'
'-x+1/2,-y+1/2,-z'
'-x+1/2,y+1/2,-z'
'x+1/2,-y+1/2,z'
loop_
_atom_site_label
_atom_site_type_symbol
_atom_site_fract_x
_atom_site_fract_y
_atom_site_fract_z
B1 B 0.088 0.000 0.320
B2 B 0.121 0.123 0.032
B3 B 0.200 0.318 0.068
B4 B 0.205 0.000 0.760
```

Main lines, by angle (2θ = 5–70°):
| two_theta | I/Imax | h k l |
| --- | --- | --- |
| 17.3 | 100 | 1 1 0 |
| 22.8 | 72 | 0 0 1 |
| 27.4 | 13 | 2 0 0 |
| 31.5 | 9 | 0 2 1 |
| 37.6 | 6 | 3 1 -1 |
| 68.0 | 6 | 3 5 -1 |

=====

No. 5
This entry pairs a crystal structure of Zr5Ge4 with its simulated powder diffractogram. Radiation: Cu Kα (λ = 1.5418 Å). Structure: DFT lattice parameters and positions (PBE).

Atomic structure:
```
data_Zr5Ge4
_chemical_formula_sum 'Zr20 Ge16'
_symmetry_space_group_name_H-M 'P 41 21 2'
_symmetry_Int_Tables_number 92
_cell_length_a 7.305
_cell_length_b 7.305
_cell_length_c 13.243
_cell_angle_alpha 90.00
_cell_angle_beta 90.00
_cell_angle_gamma 90.00
loop_
_symmetry_equiv_pos_as_xyz
'x,y,z'
'-y+1/2,x+1/2,z+1/4'
'-x,-y,z+1/2'
'y+1/2,-x+1/2,z+3/4'
'x+1/2,-y+1/2,-z+3/4'
'-y,-x,-z+1/2'
'-x+1/2,y+1/2,-z+1/4'
'y,x,-z'
loop_
_atom_site_label
_atom_site_type_symbol
_atom_site_fract_x
_atom_site_fract_y
_atom_site_fract_z
Zr1 Zr 0.002 0.155 0.128
Zr2 Zr 0.002 0.656 0.030
Zr3 Zr 0.171 0.829 0.250
Ge1 Ge 0.038 0.698 0.434
Ge2 Ge 0.140 0.201 0.329
```

Main lines, by angle (2θ = 5–70°):
| two_theta | I/Imax | h k l |
| --- | --- | --- |
| 32.1 | 27 | 1 1 4 |
| 34.1 | 95 | 2 1 3 |
| 35.4 | 95 | 2 2 1 |
| 38.2 | 100 | 1 1 5 |
| 39.4 | 94 | 3 0 2 |
| 60.6 | 19 | 3 3 4 |

=====

No. 6
This entry pairs a crystal structure of Zr7N4O8 with its simulated powder diffractogram. Radiation: Cu Kα (λ = 1.5418 Å). Structure: DFT lattice parameters and positions (PBE).

Atomic structure:
```
data_Zr7N4O8
_chemical_formula_sum 'Zr7 N4 O8'
_symmetry_space_group_name_H-M 'P 1'
_symmetry_Int_Tables_number 1
_cell_length_a 6.274
_cell_length_b 6.296
_cell_length_c 6.369
_cell_angle_alpha 99.72
_cell_angle_beta 99.26
_cell_angle_gamma 99.24
loop_
_symmetry_equiv_pos_as_xyz
'x,y,z'
loop_
_atom_site_label
_atom_site_type_symbol
_atom_site_fract_x
_atom_site_fract_y
_atom_site_fract_z
Zr1 Zr 0.000 0.000 0.000
Zr2 Zr 0.089 0.573 0.278
Zr3 Zr 0.304 0.165 0.551
Zr4 Zr 0.393 0.740 0.791
Zr5 Zr 0.546 0.255 0.111
Zr6 Zr 0.684 0.882 0.421
Zr7 Zr 0.823 0.473 0.726
N1 N 0.269 0.051 0.843
N2 N 0.359 0.804 0.471
N3 N 0.627 0.211 0.478
N4 N 0.762 0.796 0.732
O1 O 0.011 0.970 0.331
O2 O 0.113 0.454 0.590
O3 O 0.115 0.680 0.988
O4 O 0.263 0.312 0.232
O5 O 0.506 0.441 0.840
O6 O 0.598 0.931 0.090
O7 O 0.758 0.564 0.294
O8 O 0.861 0.284 0.981
```

Main lines, by angle (2θ = 5–70°):
| two_theta | I/Imax | h k l |
| --- | --- | --- |
| 29.8 | 100 | 0 1 -2 |
| 30.2 | 96 | 2 0 -1 |
| 34.8 | 34 | 1 2 -1 |
| 34.8 | 17 | 2 -1 1 |
| 50.0 | 29 | 1 -3 2 |
| 59.6 | 15 | 3 2 -2 |

=====

No. 7
This entry pairs a crystal structure of Zr5GeSb3 with its simulated powder diffractogram. Radiation: Cu Kα (λ = 1.5418 Å). Structure: DFT lattice parameters and positions (PBE).

Atomic structure:
```
data_Zr5GeSb3
_chemical_formula_sum 'Zr10 Ge2 Sb6'
_symmetry_space_group_name_H-M 'P 63/m c m'
_symmetry_Int_Tables_number 193
_symmetry_space_group_name_Hall '-P 6c 2'
_cell_length_a 8.7171
_cell_length_b 8.7171
_cell_length_c 5.8757
_cell_angle_alpha 90.00
_cell_angle_beta 90.00
_cell_angle_gamma 120.00
loop_
_atom_site_label
_atom_site_type_symbol
_atom_site_fract_x
_atom_site_fract_y
_atom_site_fract_z
Zr1 Zr 0.0000 0.2647 0.2500
Zr2 Zr 0.3333 0.6667 0.0000
Ge1 Ge 0.0000 0.0000 0.0000
Sb1 Sb 0.0000 0.3942 0.7500
```

Main lines, by angle (2θ = 5–70°):
| two_theta | I/Imax | h k l |
| --- | --- | --- |
| 35.0 | 83 | 2 1 1 |
| 35.7 | 76 | 3 0 0 |
| 36.9 | 100 | 1 1 2 |
| 46.0 | 28 | 3 1 1 |
| 52.3 | 21 | 2 2 2 |
| 57.0 | 20 | 2 1 3 |

=====

No. 8
This entry pairs a crystal structure of CaMg14Ti with its simulated powder diffractogram. Radiation: Cu Kα (λ = 1.5418 Å). Structure: DFT lattice parameters and positions (PBE).

Atomic structure:
```
data_CaMg14Ti
_chemical_formula_sum 'Ca1 Mg14 Ti1'
_symmetry_space_group_name_H-M 'P -6 m 2'
_symmetry_Int_Tables_number 187
_symmetry_space_group_name_Hall 'P -6 2'
_cell_length_a 6.4919
_cell_length_b 6.4919
_cell_length_c 10.2797
_cell_angle_alpha 90.00
_cell_angle_beta 90.00
_cell_angle_gamma 120.00
loop_
_atom_site_label
_atom_site_type_symbol
_atom_site_fract_x
_atom_site_fract_y
_atom_site_fract_z
Ca1 Ca 0.0000 0.0000 0.0000
Mg1 Mg 0.0021 0.5010 0.5000
Mg2 Mg 0.0068 0.5034 0.0000
Mg3 Mg 0.1666 0.3331 0.2594
Mg4 Mg 0.6667 0.3333 0.2466
Ti1 Ti 0.0000 0.0000 0.5000
```

Main lines, by angle (2θ = 5–70°):
| two_theta | I/Imax | h k l |
| --- | --- | --- |
| 31.8 | 25 | 2 0 0 |
| 34.9 | 25 | 0 0 4 |
| 36.4 | 100 | 2 0 2 |
| 56.7 | 17 | 2 2 0 |
| 63.6 | 17 | 2 0 6 |
| 68.4 | 19 | 2 2 4 |

=====

No. 9
This entry pairs a crystal structure of Ba5MgBi3O11 with its simulated powder diffractogram. Radiation: Cu Kα (λ = 1.5418 Å). Structure: DFT lattice parameters and positions (PBE).

Atomic structure:
```
data_Ba5MgBi3O11
_chemical_formula_sum 'Ba5 Mg1 Bi3 O11'
_symmetry_space_group_name_H-M 'P 1 m 1'
_symmetry_Int_Tables_number 6
_cell_length_a 6.454
_cell_length_b 9.502
_cell_length_c 6.791
_cell_angle_alpha 90.00
_cell_angle_beta 91.06
_cell_angle_gamma 90.00
loop_
_symmetry_equiv_pos_as_xyz
'x,y,z'
'x,-y,z'
loop_
_atom_site_label
_atom_site_type_symbol
_atom_site_fract_x
_atom_site_fract_y
_atom_site_fract_z
Ba1 Ba 0.000 0.000 0.000
Ba2 Ba 0.492 0.258 0.967
Ba3 Ba 0.880 0.214 0.426
Mg1 Mg 0.009 0.500 0.610
Bi1 Bi 0.432 0.000 0.532
Bi2 Bi 0.488 0.500 0.556
Bi3 Bi 0.977 0.500 0.068
O1 O 0.138 0.000 0.382
O2 O 0.198 0.500 0.376
O3 O 0.239 0.500 0.821
O4 O 0.374 0.000 0.871
O5 O 0.498 0.248 0.577
O6 O 0.676 0.000 0.292
O7 O 0.767 0.500 0.794
O8 O 0.776 0.500 0.371
O9 O 0.897 0.259 0.056
```

Main lines, by angle (2θ = 5–70°):
| two_theta | I/Imax | h k l |
| --- | --- | --- |
| 19.1 | 31 | 1 0 1 |
| 26.3 | 47 | 0 0 2 |
| 26.6 | 100 | 1 2 -1 |
| 26.9 | 84 | 1 2 1 |
| 27.6 | 46 | 2 0 0 |
| 37.9 | 32 | 0 4 0 |

=====

No. 10
This entry pairs a crystal structure of ZrAlCo4 with its simulated powder diffractogram. Radiation: Cu Kα (λ = 1.5418 Å). Structure: DFT lattice parameters and positions (PBE).

Atomic structure:
```
data_ZrAlCo4
_chemical_formula_sum 'Zr4 Al4 Co16'
_symmetry_space_group_name_H-M 'F -4 3 m'
_symmetry_Int_Tables_number 216
_symmetry_space_group_name_Hall 'F -4 2 3'
_cell_length_a 6.757
_cell_length_b 6.757
_cell_length_c 6.757
_cell_angle_alpha 90.00
_cell_angle_beta 90.00
_cell_angle_gamma 90.00
loop_
_atom_site_label
_atom_site_type_symbol
_atom_site_fract_x
_atom_site_fract_y
_atom_site_fract_z
Zr1 Zr 0.000 0.000 0.000
Al1 Al 0.250 0.250 0.750
Co1 Co 0.123 0.123 0.377
```

Main lines, by angle (2θ = 5–70°):
| two_theta | I/Imax | h k l |
| --- | --- | --- |
| 22.8 | 15 | 1 1 1 |
| 26.4 | 12 | 2 0 0 |
| 37.7 | 26 | 2 2 0 |
| 44.5 | 100 | 3 1 1 |
| 46.6 | 42 | 2 2 2 |
| 68.0 | 9 | 4 2 2 |

=====

No. 11
This entry pairs a crystal structure of NdAs with its simulated powder diffractogram. Radiation: Cu Kα (λ = 1.5418 Å). Structure: DFT lattice parameters and positions (PBE).

Atomic structure:
```
data_NdAs
_chemical_formula_sum 'Nd1 As1'
_symmetry_space_group_name_H-M 'P 4/m m m'
_symmetry_Int_Tables_number 123
_symmetry_space_group_name_Hall '-P 4 2'
_cell_length_a 3.884
_cell_length_b 3.884
_cell_length_c 3.277
_cell_angle_alpha 90.00
_cell_angle_beta 90.00
_cell_angle_gamma 90.00
loop_
_atom_site_label
_atom_site_type_symbol
_atom_site_fract_x
_atom_site_fract_y
_atom_site_fract_z
Nd1 Nd 0.000 0.000 0.000
As1 As 0.500 0.500 0.500
```

Main lines, by angle (2θ = 5–70°):
| two_theta | I/Imax | h k l |
| --- | --- | --- |
| 22.9 | 14 | 1 0 0 |
| 32.6 | 65 | 1 1 0 |
| 35.9 | 100 | 1 0 1 |
| 46.8 | 24 | 2 0 0 |
| 60.3 | 44 | 2 1 1 |
| 66.4 | 16 | 1 1 2 |